Starting from a GGA-PBE-relaxed structure, the PXRD pattern of CeErS3 was simulated for Cu Kα (λ = 1.5418 Å).
Neutral-atom scattering factors, no anomalous dispersion.

Top 6 peaks for 2θ = 10–90°, low angle first:
Position (°2θ)	I (rel.)	(hkl)
24.6	696	3 0 -2
25.1	832	1 0 -6
26.0	1000	2 0 4
29.0	335	2 1 1
37.4	430	3 1 -5
46.2	358	0 2 0

Cell and atoms:
a = 10.971 Å, b = 3.927 Å, c = 21.492 Å
α = 90.00°, β = 101.53°, γ = 90.00°
Element x y z (fractional)
Ce  0.092  0.250  0.363
Ce  0.200  0.250  0.037
Ce  0.304  0.750  0.734
Ce  0.307  0.250  0.231
Ce  0.693  0.750  0.769
Ce  0.696  0.250  0.266
Ce  0.800  0.750  0.963
Ce  0.908  0.750  0.637
Er  0.030  0.250  0.852
Er  0.177  0.250  0.546
Er  0.447  0.250  0.918
Er  0.477  0.750  0.411
Er  0.523  0.250  0.589
Er  0.553  0.750  0.082
Er  0.823  0.750  0.454
Er  0.970  0.750  0.148
S  0.039  0.250  0.229
S  0.058  0.750  0.945
S  0.086  0.750  0.462
S  0.124  0.250  0.665
S  0.206  0.750  0.134
S  0.252  0.750  0.324
S  0.255  0.250  0.823
S  0.342  0.750  0.600
S  0.354  0.750  0.985
S  0.363  0.250  0.464
S  0.451  0.250  0.134
S  0.494  0.250  0.722
S  0.506  0.750  0.278
S  0.549  0.750  0.866
S  0.637  0.750  0.536
S  0.646  0.250  0.015
S  0.658  0.250  0.400
S  0.745  0.750  0.177
S  0.748  0.250  0.676
S  0.794  0.250  0.866
S  0.876  0.750  0.335
S  0.914  0.250  0.538
S  0.942  0.250  0.055
S  0.961  0.750  0.771